Record 1
Starting from a structure optimized by DFT (PBE), the XRD peak list of GaCo2Se4 was computed for a wavelength of 1.5418 Å.

Cell and atoms:
Lattice parameters (Å, degrees): 7.2949 7.2949 10.2603 90.00 90.00 90.00
Space group P4_122 (No. 91)
Unique sites:
Ga 0.2494 0.2494 0.3750 [4 per cell]
Co 0.0000 0.2504 0.0000 [4 per cell]
Co 0.2504 0.5000 0.7500 [4 per cell]
Se 0.0362 0.2500 0.7668 [8 per cell]
Se 0.2500 0.4648 0.9833 [8 per cell]

Main lines, low angle first (15° ≤ 2θ ≤ 90°):
(2 0 0), 2θ = 24.4°, I = 41; (2 1 1), 2θ = 28.7°, I = 41; (1 0 3), 2θ = 28.8°, I = 22; (2 0 2), 2θ = 30.1°, I = 60; (2 2 0), 2θ = 34.8°, I = 79; (0 0 4), 2θ = 35.0°, I = 40; (3 0 1), 2θ = 38.1°, I = 15; (3 2 1), 2θ = 45.7°, I = 66; (1 0 5), 2θ = 45.9°, I = 31; (4 0 0), 2θ = 50.0°, I = 50; (2 2 4), 2θ = 50.2°, I = 100; (4 0 4), 2θ = 62.5°, I = 19

---

Record 2
Starting from a structure optimized by DFT (PBE), the XRD peak list of K5Sb2Au was computed for a wavelength of 1.5418 Å.

Cell and atoms:
Lattice parameters (Å, degrees): 6.0172 6.0172 20.6544 90.00 90.00 120.00
Space group P6_3/mmc (No. 194)
Unique sites:
K 0.0000 0.0000 0.1476 [4 per cell]
K 0.3333 0.6667 0.0505 [4 per cell]
K 0.3333 0.6667 0.2500 [2 per cell]
Sb 0.3333 0.6667 0.6203 [4 per cell]
Au 0.3333 0.6667 0.7500 [2 per cell]

Main lines, low angle first (15° ≤ 2θ ≤ 90°):
(1 0 0), 2θ = 17.0°, I = 33; (1 0 1), 2θ = 17.6°, I = 100; (1 1 0), 2θ = 29.7°, I = 92; (1 1 2), 2θ = 31.0°, I = 13; (1 0 6), 2θ = 31.1°, I = 18; (0 0 8), 2θ = 34.7°, I = 29; (1 0 7), 2θ = 34.9°, I = 39; (1 1 8), 2θ = 46.3°, I = 43; (2 0 7), 2θ = 46.5°, I = 17; (3 0 0), 2θ = 52.7°, I = 17; (2 1 7), 2θ = 56.1°, I = 20; (3 0 8), 2θ = 64.7°, I = 16

---

Record 3
Starting from a structure optimized by DFT (PBE), the XRD peak list of Er4CICl4 was computed for a wavelength of 1.5418 Å.

Cell and atoms:
Lattice parameters (Å, degrees): 16.8197 3.7672 8.3939 90.00 103.94 90.00
Space group C2/m (No. 12)
Unique sites:
Er 0.0008 0.0000 0.3097 [4 per cell]
Er 0.1441 0.5000 0.5748 [4 per cell]
C 0.0000 0.5000 0.5000 [2 per cell]
I 0.0000 0.5000 0.0000 [2 per cell]
Cl 0.1653 0.0000 0.8086 [4 per cell]
Cl 0.1712 0.0000 0.3570 [4 per cell]

Main lines, low angle first (15° ≤ 2θ ≤ 90°):
(4 0 -1), 2θ = 21.9°, I = 21; (3 1 0), 2θ = 28.8°, I = 22; (3 1 -1), 2θ = 29.4°, I = 31; (1 1 -2), 2θ = 31.9°, I = 100; (3 1 1), 2θ = 32.3°, I = 40; (6 0 0), 2θ = 32.9°, I = 52; (4 0 -3), 2θ = 35.0°, I = 21; (2 0 3), 2θ = 37.3°, I = 27; (1 1 -3), 2θ = 40.2°, I = 20; (5 1 2), 2θ = 46.4°, I = 26; (7 1 -2), 2θ = 46.7°, I = 25; (0 2 0), 2θ = 48.3°, I = 19

---

Record 4
Starting from a structure optimized by DFT (PBE), the XRD peak list of ZnPbSeO was computed for a wavelength of 1.5418 Å.

Cell and atoms:
Lattice parameters (Å, degrees): 6.1459 9.1774 5.9576 90.00 90.00 90.00
Space group Pca2_1 (No. 29)
Unique sites:
Zn 0.1055 0.0627 0.0000 [4 per cell]
Pb 0.0108 0.3256 0.5950 [4 per cell]
Se 0.0108 0.6766 0.5904 [4 per cell]
O 0.1045 0.0648 0.6583 [4 per cell]

Main lines, low angle first (15° ≤ 2θ ≤ 90°):
(0 2 0), 2θ = 19.3°, I = 22; (1 1 1), 2θ = 22.9°, I = 53; (1 2 1), 2θ = 28.5°, I = 54; (2 0 0), 2θ = 29.1°, I = 73; (0 3 0), 2θ = 29.2°, I = 77; (0 0 2), 2θ = 30.0°, I = 79; (2 2 0), 2θ = 35.1°, I = 22; (0 2 2), 2θ = 35.9°, I = 19; (2 3 0), 2θ = 41.7°, I = 50; (0 3 2), 2θ = 42.3°, I = 100; (2 2 2), 2θ = 46.9°, I = 22; (2 3 2), 2θ = 52.2°, I = 50